For Al8W5, a cell relaxed with PBE gives the computed XRD peak list in this record (copper Kα).

Atomic structure:
a = 4.9875 Å, b = 4.9875 Å, c = 28.0696 Å
α = 90.00°, β = 90.00°, γ = 120.00°
Space group R-3m (No. 166, hexagonal axes)
Unique sites:
Al: 0.0000 0.0000 0.1657 (multiplicity 6)
Al: 0.0026 0.5013 0.4097 (multiplicity 18)
W: 0.0000 0.0000 0.0000 (multiplicity 3)
W: 0.0000 0.0000 0.3555 (multiplicity 6)
W: 0.0000 0.0000 0.4538 (multiplicity 6)

Peak list (6 most intense, 2θ = 10–90°, in order of rising 2θ)
2θ 20.8, rel. 43
2θ 21.5, rel. 47
2θ 36.0, rel. 91
2θ 41.1, rel. 100
2θ 46.6, rel. 35
2θ 68.2, rel. 38